Record 1
Calculated powder X-ray diffraction pattern
Compound: Pr2CdIr2Rh5
Radiation: λ = 1.5418 Å (Cu Kα)
Structure: a DFT-relaxed cell (PBE, Alexandria)

Atomic structure:
Lattice parameters (Å, degrees): 9.5646 9.5646 4.0992 90.00 90.00 90.00
Space group P4/mbm (No. 127)
Inequivalent atoms, fractional coordinates:
Pr1 0.1690 0.3310 0.0000 [4 per cell]
Cd1 0.0000 0.0000 0.0000 [2 per cell]
Ir1 0.1289 0.6289 0.0000 [4 per cell]
Rh1 0.0000 0.5000 0.5000 [2 per cell]
Rh2 0.0691 0.7910 0.5000 [8 per cell]

Largest 8 diffraction maxima, by angle, 2θ from 10° to 80°:
d_spacing  intensity  hkl
4.277  14  2 1 0
2.609  14  2 2 1
2.434  100  3 1 1
2.320  21  4 1 0
2.254  14  3 3 0
2.227  38  3 2 1
2.065  22  4 0 1
2.050  28  0 0 2

=====

Record 2
Calculated powder X-ray diffraction pattern
Compound: CdIrPt4
Radiation: λ = 1.5418 Å (Cu Kα)
Structure: a DFT-relaxed cell (PBE, Alexandria)

Atomic structure:
Lattice parameters (Å, degrees): 9.1678 10.1806 5.3078 90.00 115.85 90.00
Space group C2/c (No. 15)
Inequivalent atoms, fractional coordinates:
Cd1 0.0000 0.1123 0.2500 [4 per cell]
Ir1 0.0000 0.3310 0.7500 [4 per cell]
Pt1 0.1745 0.4649 0.5400 [8 per cell]
Pt2 0.2429 0.2825 0.2389 [8 per cell]

Largest 8 diffraction maxima, by angle, 2θ from 10° to 80°:
d_spacing  intensity  hkl
6.410  56  1 1 0
4.125  29  2 0 0
2.655  30  3 1 0
2.329  33  3 1 -2
2.322  41  2 2 1
2.167  100  2 4 -1
2.162  64  0 2 2
2.071  63  4 0 -2

=====

Record 3
Calculated powder X-ray diffraction pattern
Compound: Cd2IrPt
Radiation: λ = 1.5418 Å (Cu Kα)
Structure: a DFT-relaxed cell (PBE, Alexandria)

Atomic structure:
Lattice parameters (Å, degrees): 3.0279 4.8842 9.3819 90.00 90.00 90.00
Space group Cmmm (No. 65)
Inequivalent atoms, fractional coordinates:
Cd1 0.0000 0.0000 0.2481 [4 per cell]
Ir1 0.0000 0.5000 0.0000 [2 per cell]
Pt1 0.0000 0.5000 0.5000 [2 per cell]

Largest 8 diffraction maxima, by angle, 2θ from 10° to 80°:
d_spacing  intensity  hkl
4.691  10  0 0 2
2.442  31  0 2 0
2.345  28  0 0 4
2.256  100  1 1 2
1.692  20  0 2 4
1.371  20  1 3 2
1.336  19  1 1 6
1.287  8  2 2 0

=====

Record 4
Calculated powder X-ray diffraction pattern
Compound: CdReIr2
Radiation: λ = 1.5418 Å (Cu Kα)
Structure: a DFT-relaxed cell (PBE, Alexandria)

Atomic structure:
Lattice parameters (Å, degrees): 2.8031 4.5791 4.8822 90.00 90.00 90.00
Space group Pmm2 (No. 25)
Inequivalent atoms, fractional coordinates:
Cd1 0.0000 0.0000 0.0000 [1 per cell]
Re1 0.0000 0.5000 0.3509 [1 per cell]
Ir1 0.5000 0.0000 0.5016 [1 per cell]
Ir2 0.5000 0.5000 0.8432 [1 per cell]

Largest 8 diffraction maxima, by angle, 2θ from 10° to 80°:
d_spacing  intensity  hkl
2.441  15  0 0 2
2.431  20  1 0 1
2.290  38  0 2 0
2.154  44  0 1 2
2.147  100  1 1 1
1.667  13  1 2 1
1.407  16  1 0 3
1.293  20  1 3 1

=====

Record 5
Calculated powder X-ray diffraction pattern
Compound: CdReIr4
Radiation: λ = 1.5418 Å (Cu Kα)
Structure: a DFT-relaxed cell (PBE, Alexandria)

Atomic structure:
Lattice parameters (Å, degrees): 7.3195 7.3195 7.3195 90.00 90.00 90.00
Space group F-43m (No. 216)
Inequivalent atoms, fractional coordinates:
Cd1 0.0000 0.0000 0.0000 [4 per cell]
Re1 0.2500 0.2500 0.2500 [4 per cell]
Ir1 0.1253 0.1253 0.6253 [16 per cell]

Largest 8 diffraction maxima, by angle, 2θ from 10° to 80°:
d_spacing  intensity  hkl
4.226  15  1 1 1
2.588  20  2 2 0
2.207  100  3 1 1
2.113  49  2 2 2
1.830  9  4 0 0
1.494  7  4 2 2
1.409  32  5 1 1
1.294  29  4 4 0

=====

Record 6
Calculated powder X-ray diffraction pattern
Compound: CdIr3Rh
Radiation: λ = 1.5418 Å (Cu Kα)
Structure: a DFT-relaxed cell (PBE, Alexandria)

Atomic structure:
Lattice parameters (Å, degrees): 4.7349 4.7349 4.7349 90.00 90.00 90.00
Space group Pm-3m (No. 221)
Inequivalent atoms, fractional coordinates:
Cd1 0.0000 0.0000 0.0000 [1 per cell]
Ir1 0.0000 0.5000 0.5000 [3 per cell]
Rh1 0.5000 0.5000 0.5000 [1 per cell]

Largest 8 diffraction maxima, by angle, 2θ from 10° to 80°:
d_spacing  intensity  hkl
4.735  29  1 0 0
2.734  100  1 1 1
2.367  94  2 0 0
2.118  14  2 1 0
1.674  65  2 2 0
1.578  7  3 0 0
1.428  42  3 1 1
1.367  22  2 2 2

=====

Record 7
Calculated powder X-ray diffraction pattern
Compound: CdSb12Ir4
Radiation: λ = 1.5418 Å (Cu Kα)
Structure: a DFT-relaxed cell (PBE, Alexandria)

Atomic structure:
Lattice parameters (Å, degrees): 9.4266 9.4266 9.4266 90.00 90.00 90.00
Space group Im-3 (No. 204)
Inequivalent atoms, fractional coordinates:
Cd1 0.0000 0.0000 0.0000 [2 per cell]
Sb1 0.0000 0.3390 0.1540 [24 per cell]
Ir1 0.2500 0.2500 0.2500 [8 per cell]

Largest 8 diffraction maxima, by angle, 2θ from 10° to 80°:
d_spacing  intensity  hkl
4.713  32  2 0 0
3.333  30  2 2 0
2.981  100  3 0 1
2.519  44  3 1 2
2.108  59  4 2 0
1.924  61  4 2 2
1.849  29  4 3 1
1.390  17  6 1 3

=====

Record 8
Calculated powder X-ray diffraction pattern
Compound: CdSiIrSe2
Radiation: λ = 1.5418 Å (Cu Kα)
Structure: a DFT-relaxed cell (PBE, Alexandria)

Atomic structure:
Lattice parameters (Å, degrees): 4.8922 4.8922 5.1345 90.00 90.00 90.00
Space group P4/mmm (No. 123)
Inequivalent atoms, fractional coordinates:
Cd1 0.0000 0.0000 0.0000 [1 per cell]
Si1 0.5000 0.5000 0.0000 [1 per cell]
Ir1 0.0000 0.0000 0.5000 [1 per cell]
Se1 0.0000 0.5000 0.5000 [2 per cell]

Largest 8 diffraction maxima, by angle, 2θ from 10° to 80°:
d_spacing  intensity  hkl
5.135  31  0 0 1
4.892  100  1 0 0
2.567  32  0 0 2
2.446  56  2 0 0
2.273  28  1 0 2
2.188  25  2 1 0
1.771  42  2 0 2
1.665  22  2 1 2

=====

Record 9
Calculated powder X-ray diffraction pattern
Compound: Sm3CdIr8
Radiation: λ = 1.5418 Å (Cu Kα)
Structure: a DFT-relaxed cell (PBE, Alexandria)

Atomic structure:
Lattice parameters (Å, degrees): 5.3780 5.3780 26.3862 90.00 90.00 120.00
Space group R3m (No. 160, hexagonal axes)
Inequivalent atoms, fractional coordinates:
Sm1 0.0000 0.0000 0.0000 [3 per cell]
Sm2 0.0000 0.0000 0.1277 [3 per cell]
Sm3 0.0000 0.0000 0.6205 [3 per cell]
Cd1 0.0000 0.0000 0.4977 [3 per cell]
Ir1 0.0000 0.0000 0.3120 [3 per cell]
Ir2 0.0000 0.0000 0.8121 [3 per cell]
Ir3 0.0002 0.5001 0.0623 [9 per cell]
Ir4 0.0005 0.5002 0.5616 [9 per cell]

Largest 8 diffraction maxima, by angle, 2θ from 10° to 80°:
d_spacing  intensity  hkl
4.393  17  0 0 6
2.690  19  1 1 0
2.294  100  2 0 2
2.197  51  0 2 4
1.902  10  2 0 8
1.553  7  3 0 0
1.464  32  3 0 6
1.345  30  2 2 0

=====

Record 10
Calculated powder X-ray diffraction pattern
Compound: Sm2CdIr2
Radiation: λ = 1.5418 Å (Cu Kα)
Structure: a DFT-relaxed cell (PBE, Alexandria)

Atomic structure:
Lattice parameters (Å, degrees): 10.2697 5.5425 8.4080 90.00 108.35 90.00
Space group C2/c (No. 15)
Inequivalent atoms, fractional coordinates:
Sm1 0.1448 0.1602 0.1471 [8 per cell]
Cd1 0.0000 0.3436 0.7500 [4 per cell]
Ir1 0.1430 0.3418 0.5178 [8 per cell]

Largest 8 diffraction maxima, by angle, 2θ from 10° to 80°:
d_spacing  intensity  hkl
2.699  70  2 0 2
2.658  49  3 1 -2
2.618  58  0 2 1
2.499  100  1 1 -3
2.449  94  4 0 -2
2.437  43  4 0 0
2.412  71  2 2 -1
2.213  79  2 2 1

=====

Record 11
Calculated powder X-ray diffraction pattern
Compound: Tb7Cd2Ir2
Radiation: λ = 1.5418 Å (Cu Kα)
Structure: a DFT-relaxed cell (PBE, Alexandria)

Atomic structure:
Lattice parameters (Å, degrees): 8.1715 10.9168 7.1654 90.00 90.00 90.00
Space group Cmmm (No. 65)
Inequivalent atoms, fractional coordinates:
Tb1 0.0000 0.0000 0.0000 [2 per cell]
Tb2 0.0000 0.5000 0.2429 [4 per cell]
Tb3 0.2500 0.2500 0.2490 [8 per cell]
Cd1 0.1756 0.0000 0.5000 [4 per cell]
Ir1 0.0000 0.2872 0.0000 [4 per cell]

Largest 8 diffraction maxima, by angle, 2θ from 10° to 80°:
d_spacing  intensity  hkl
7.165  22  0 0 1
4.342  23  0 2 1
3.549  41  2 0 1
3.271  28  2 2 0
3.142  31  1 1 2
2.729  54  0 4 0
2.437  43  1 3 2
2.416  100  2 2 2

=====

Record 12
Calculated powder X-ray diffraction pattern
Compound: Cd2TeIr
Radiation: λ = 1.5418 Å (Cu Kα)
Structure: a DFT-relaxed cell (PBE, Alexandria)

Atomic structure:
Lattice parameters (Å, degrees): 4.4965 3.1701 6.9409 90.00 108.84 90.00
Space group Pm (No. 6)
Inequivalent atoms, fractional coordinates:
Cd1 0.0000 0.0000 0.0000 [1 per cell]
Cd2 0.3351 0.5000 0.6710 [1 per cell]
Te1 0.6337 0.5000 0.2653 [1 per cell]
Ir1 0.7930 0.0000 0.5870 [1 per cell]

Largest 8 diffraction maxima, by angle, 2θ from 10° to 80°:
d_spacing  intensity  hkl
6.569  35  0 0 1
4.254  44  1 0 0
2.542  100  1 1 -1
2.281  44  0 1 2
2.269  28  1 0 -3
2.248  40  2 0 -1
2.230  50  1 1 1
1.601  29  2 1 1

=====

Record 13
Calculated powder X-ray diffraction pattern
Compound: CdTe2Ir
Radiation: λ = 1.5418 Å (Cu Kα)
Structure: a DFT-relaxed cell (PBE, Alexandria)

Atomic structure:
Lattice parameters (Å, degrees): 7.0005 4.0456 7.5657 90.00 107.51 90.00
Space group C2/m (No. 12)
Inequivalent atoms, fractional coordinates:
Cd1 0.0000 0.0000 0.0000 [2 per cell]
Te1 0.2276 0.0000 0.6882 [4 per cell]
Ir1 0.0000 0.5000 0.5000 [2 per cell]

Largest 8 diffraction maxima, by angle, 2θ from 10° to 80°:
d_spacing  intensity  hkl
7.215  43  0 0 1
2.946  100  1 1 1
2.928  50  2 0 -2
2.323  14  1 1 2
2.137  28  1 1 -3
2.022  58  0 2 0
1.664  19  2 2 -2
1.287  15  1 3 1

=====

Record 14
Calculated powder X-ray diffraction pattern
Compound: TmThCdIr
Radiation: λ = 1.5418 Å (Cu Kα)
Structure: a DFT-relaxed cell (PBE, Alexandria)

Atomic structure:
Lattice parameters (Å, degrees): 7.2438 7.2438 7.2438 90.00 90.00 90.00
Space group F-43m (No. 216)
Inequivalent atoms, fractional coordinates:
Tm1 0.0000 0.0000 0.0000 [4 per cell]
Th1 0.0000 0.0000 0.5000 [4 per cell]
Cd1 0.2500 0.2500 0.7500 [4 per cell]
Ir1 0.2500 0.2500 0.2500 [4 per cell]

Largest 8 diffraction maxima, by angle, 2θ from 10° to 80°:
d_spacing  intensity  hkl
4.182  4  1 1 1
3.622  2  2 0 0
2.561  100  2 2 0
2.184  2  3 1 1
1.811  18  4 0 0
1.662  1  3 3 1
1.479  37  4 2 2
1.281  12  4 4 0